No. 1
LaPrIN: computed PXRD pattern (Cu Ka), based on a DFT-relaxed cell (GGA-PBE, OQMD).

Crystal structure
```
data_LaPrIN
_cell_length_a 3.8390
_cell_length_b 3.8390
_cell_length_c 15.4751
_cell_angle_alpha 90.00
_cell_angle_beta 90.00
_cell_angle_gamma 120.00
_symmetry_space_group_name_H-M 'P -3 m 1'
_symmetry_Int_Tables_number 164
_symmetry_space_group_name_Hall '-P 3 2"'
loop_
_atom_site_label
_atom_site_fract_x
_atom_site_fract_y
_atom_site_fract_z
_atom_site_occupancy
La1 0.3333 0.6667 0.0873 1
Pr1 0.3333 0.6667 0.4149 1
I1 0.3333 0.6667 0.7467 1
N1 0.0000 0.0000 0.0000 1
N2 0.0000 0.0000 0.5000 1
```

Main lines, low angle first (10 to 80 degrees two-theta):
- (1 0 0), 2θ 26.8, d 3.325, I 228
- (1 0 3), 2θ 32.0, d 2.795, I 1000
- (0 0 6), 2θ 34.8, d 2.579, I 164
- (1 1 0), 2θ 47.4, d 1.919, I 237
- (0 2 3), 2θ 58.3, d 1.582, I 179
- (1 1 6), 2θ 60.1, d 1.540, I 204


No. 2
Cu2SiHgSeS3: computed PXRD pattern (Cu Ka), based on a DFT-relaxed cell (GGA-PBE, OQMD).

Crystal structure
```
data_Cu2SiHgSeS3
_cell_length_a 7.893
_cell_length_b 7.893
_cell_length_c 6.520
_cell_angle_alpha 90.00
_cell_angle_beta 126.35
_cell_angle_gamma 90.00
_symmetry_space_group_name_H-M 'C 1 m 1'
_symmetry_Int_Tables_number 8
loop_
_symmetry_equiv_pos_as_xyz
'x,y,z'
'x,-y,z'
'x+1/2,y+1/2,z'
'x+1/2,-y+1/2,z'
loop_
_atom_site_label
_atom_site_fract_x
_atom_site_fract_y
_atom_site_fract_z
_atom_site_occupancy
Cu1 0.000 0.237 0.000 1
Si1 0.020 0.000 0.522 1
Hg1 0.003 0.500 0.513 1
Se1 0.157 0.500 0.244 1
S1 0.097 0.000 0.254 1
S2 0.143 0.216 0.777 1
```

Main lines, low angle first (10 to 80 degrees two-theta):
- (1 1 0), 2θ 17.9, d 4.951, I 487
- (2 0 0), 2θ 28.1, d 3.179, I 454
- (0 2 1), 2θ 28.3, d 3.155, I 1000
- (2 0 -2), 2θ 28.5, d 3.131, I 554
- (0 4 0), 2θ 46.0, d 1.973, I 449
- (2 2 1), 2θ 47.3, d 1.923, I 408


No. 3
LaNd3Se3O4: computed PXRD pattern (Cu Ka), based on a DFT-relaxed cell (GGA-PBE, OQMD).

Crystal structure
```
data_LaNd3Se3O4
_cell_length_a 8.481
_cell_length_b 4.040
_cell_length_c 13.009
_cell_angle_alpha 90.00
_cell_angle_beta 90.00
_cell_angle_gamma 90.00
_symmetry_space_group_name_H-M 'A m m 2'
_symmetry_Int_Tables_number 38
loop_
_symmetry_equiv_pos_as_xyz
'x,y,z'
'-x,-y,z'
'-x,y,z'
'x,-y,z'
'x,y+1/2,z+1/2'
'-x,-y+1/2,z+1/2'
'-x,y+1/2,z+1/2'
'x,-y+1/2,z+1/2'
loop_
_atom_site_label
_atom_site_fract_x
_atom_site_fract_y
_atom_site_fract_z
_atom_site_occupancy
La1 0.000 0.000 0.000 1
Nd1 0.264 0.000 0.332 1
Nd2 0.500 0.000 0.015 1
Se1 0.149 0.000 0.663 1
Se2 0.500 0.000 0.703 1
O1 0.000 0.000 0.399 1
O2 0.258 0.000 0.928 1
O3 0.500 0.000 0.429 1
```

Main lines, low angle first (10 to 80 degrees two-theta):
- (2 0 2), 2θ 25.1, d 3.552, I 539
- (0 1 3), 2θ 30.2, d 2.956, I 1000
- (2 1 1), 2θ 31.3, d 2.854, I 534
- (2 0 4), 2θ 34.8, d 2.581, I 278
- (0 2 0), 2θ 44.9, d 2.019, I 271
- (2 1 5), 2θ 46.7, d 1.944, I 230


No. 4
Ta4CS2N: computed PXRD pattern (Cu Ka), based on a DFT-relaxed cell (GGA-PBE, OQMD).

Crystal structure
```
data_Ta4CS2N
_cell_length_a 3.1919
_cell_length_b 3.1919
_cell_length_c 12.0700
_cell_angle_alpha 90.00
_cell_angle_beta 90.00
_cell_angle_gamma 120.00
_symmetry_space_group_name_H-M 'P -3 m 1'
_symmetry_Int_Tables_number 164
_symmetry_space_group_name_Hall '-P 3 2"'
loop_
_atom_site_label
_atom_site_fract_x
_atom_site_fract_y
_atom_site_fract_z
_atom_site_occupancy
Ta1 0.3333 0.6667 0.0973 1
Ta2 0.3333 0.6667 0.3949 1
C1 0.0000 0.0000 0.0000 1
S1 0.3333 0.6667 0.7492 1
N1 0.0000 0.0000 0.5000 1
```

Main lines, low angle first (10 to 80 degrees two-theta):
- (0 0 4), 2θ 29.6, d 3.017, I 215
- (1 0 0), 2θ 32.4, d 2.764, I 280
- (1 0 1), 2θ 33.3, d 2.694, I 375
- (1 0 3), 2θ 39.6, d 2.278, I 1000
- (1 1 0), 2θ 57.8, d 1.596, I 258
- (1 0 7), 2θ 63.6, d 1.463, I 179


No. 5
GeMo4AsN2: computed PXRD pattern (Cu Ka), based on a DFT-relaxed cell (GGA-PBE, OQMD).

Crystal structure
```
data_GeMo4AsN2
_cell_length_a 3.0103
_cell_length_b 3.0103
_cell_length_c 13.2449
_cell_angle_alpha 90.00
_cell_angle_beta 90.00
_cell_angle_gamma 120.00
_symmetry_space_group_name_H-M 'P -6 m 2'
_symmetry_Int_Tables_number 187
_symmetry_space_group_name_Hall 'P -6 2'
loop_
_atom_site_label
_atom_site_fract_x
_atom_site_fract_y
_atom_site_fract_z
_atom_site_occupancy
Ge1 0.0000 0.0000 0.0000 1
Mo1 0.0000 0.0000 0.3497 1
Mo2 0.3333 0.6667 0.1551 1
As1 0.3333 0.6667 0.5000 1
N1 0.6667 0.3333 0.2512 1
```

Main lines, low angle first (10 to 80 degrees two-theta):
- (1 0 0), 2θ 34.4, d 2.607, I 220
- (1 0 3), 2θ 40.2, d 2.245, I 1000
- (0 0 6), 2θ 40.9, d 2.207, I 162
- (1 1 0), 2θ 61.6, d 1.505, I 207
- (2 0 3), 2θ 76.1, d 1.250, I 148
- (1 1 6), 2θ 76.6, d 1.244, I 153


No. 6
Nd2H5: computed PXRD pattern (Cu Ka), based on a DFT-relaxed cell (GGA-PBE, OQMD).

Crystal structure
```
data_Nd2H5
_cell_length_a 5.384
_cell_length_b 5.384
_cell_length_c 10.897
_cell_angle_alpha 90.00
_cell_angle_beta 90.00
_cell_angle_gamma 90.00
_symmetry_space_group_name_H-M 'I 41 m d'
_symmetry_Int_Tables_number 109
_symmetry_space_group_name_Hall 'I 4bw -2'
loop_
_atom_site_label
_atom_site_fract_x
_atom_site_fract_y
_atom_site_fract_z
_atom_site_occupancy
Nd1 0.000 0.000 0.000 1
Nd2 0.000 0.000 0.492 1
H1 0.000 0.000 0.245 1
H2 0.231 0.250 0.871 1
```

Main lines, low angle first (10 to 80 degrees two-theta):
- (1 1 2), 2θ 28.6, d 3.121, I 1000
- (0 0 4), 2θ 32.9, d 2.724, I 169
- (2 0 0), 2θ 33.3, d 2.692, I 330
- (2 0 4), 2θ 47.5, d 1.915, I 259
- (1 1 6), 2θ 56.1, d 1.639, I 150
- (3 1 2), 2θ 56.6, d 1.625, I 296


No. 7
TlNi9: computed PXRD pattern (Cu Ka), based on a DFT-relaxed cell (GGA-PBE, OQMD).

Crystal structure
```
data_TlNi9
_cell_length_a 2.568
_cell_length_b 3.415
_cell_length_c 38.250
_cell_angle_alpha 90.00
_cell_angle_beta 90.00
_cell_angle_gamma 90.00
_symmetry_space_group_name_H-M 'P m m n'
_symmetry_Int_Tables_number 59
loop_
_symmetry_equiv_pos_as_xyz
'x,y,z'
'-x,-y,-z'
'-x+1/2,-y+1/2,z'
'x+1/2,y+1/2,-z'
'x+1/2,-y,-z'
'-x+1/2,y,z'
'-x,y+1/2,-z'
'x,-y+1/2,z'
loop_
_atom_site_label
_atom_site_fract_x
_atom_site_fract_y
_atom_site_fract_z
_atom_site_occupancy
Tl1 0.250 0.250 0.177 1
Ni1 0.250 0.250 0.258 1
Ni2 0.250 0.250 0.323 1
Ni3 0.250 0.250 0.388 1
Ni4 0.250 0.250 0.452 1
Ni5 0.250 0.250 0.516 1
Ni6 0.250 0.250 0.580 1
Ni7 0.250 0.250 0.645 1
Ni8 0.250 0.250 0.709 1
Ni9 0.250 0.250 0.774 1
```

Main lines, low angle first (10 to 80 degrees two-theta):
- (0 0 5), 2θ 11.6, d 7.650, I 301
- (0 1 10), 2θ 35.2, d 2.547, I 224
- (1 1 0), 2θ 44.1, d 2.052, I 1000
- (0 1 15), 2θ 44.3, d 2.043, I 721
- (1 0 15), 2θ 50.4, d 1.809, I 412
- (0 2 0), 2θ 53.7, d 1.708, I 272


No. 8
Sm2Be2SiGe: computed PXRD pattern (Cu Ka), based on a DFT-relaxed cell (GGA-PBE, OQMD).

Crystal structure
```
data_Sm2Be2SiGe
_cell_length_a 3.9490
_cell_length_b 3.9490
_cell_length_c 8.3404
_cell_angle_alpha 90.00
_cell_angle_beta 90.00
_cell_angle_gamma 120.00
_symmetry_space_group_name_H-M 'P -6 m 2'
_symmetry_Int_Tables_number 187
_symmetry_space_group_name_Hall 'P -6 2'
loop_
_atom_site_label
_atom_site_fract_x
_atom_site_fract_y
_atom_site_fract_z
_atom_site_occupancy
Sm1 0.0000 0.0000 0.2477 1
Be1 0.3333 0.6667 0.0000 1
Be2 0.6667 0.3333 0.5000 1
Si1 0.6667 0.3333 0.0000 1
Ge1 0.3333 0.6667 0.5000 1
```

Main lines, low angle first (10 to 80 degrees two-theta):
- (1 0 0), 2θ 26.1, d 3.420, I 451
- (1 0 2), 2θ 33.9, d 2.644, I 1000
- (1 1 0), 2θ 46.0, d 1.974, I 283
- (2 0 2), 2θ 58.3, d 1.582, I 209
- (1 1 4), 2θ 65.1, d 1.434, I 199
- (2 1 2), 2θ 77.3, d 1.235, I 183


No. 9
TbDy2MgPd4: computed PXRD pattern (Cu Ka), based on a DFT-relaxed cell (GGA-PBE, OQMD).

Crystal structure
```
data_TbDy2MgPd4
_cell_length_a 4.855
_cell_length_b 4.855
_cell_length_c 6.868
_cell_angle_alpha 90.00
_cell_angle_beta 90.00
_cell_angle_gamma 90.00
_symmetry_space_group_name_H-M 'P 4/m m m'
_symmetry_Int_Tables_number 123
_symmetry_space_group_name_Hall '-P 4 2'
loop_
_atom_site_label
_atom_site_fract_x
_atom_site_fract_y
_atom_site_fract_z
_atom_site_occupancy
Tb1 0.000 0.000 0.000 1
Dy1 0.000 0.000 0.500 1
Dy2 0.500 0.500 0.000 1
Mg1 0.500 0.500 0.500 1
Pd1 0.000 0.500 0.256 1
```

Main lines, low angle first (10 to 80 degrees two-theta):
- (1 0 0), 2θ 18.3, d 4.855, I 38
- (1 0 1), 2θ 22.4, d 3.964, I 51
- (2 0 0), 2θ 37.0, d 2.428, I 1000
- (2 2 0), 2θ 53.4, d 1.717, I 173
- (3 1 2), 2θ 66.7, d 1.402, I 350
- (4 0 0), 2θ 78.9, d 1.214, I 109


No. 10
TaBO4: computed PXRD pattern (Cu Ka), based on a DFT-relaxed cell (GGA-PBE, OQMD).

Crystal structure
```
data_TaBO4
_cell_length_a 4.611
_cell_length_b 4.611
_cell_length_c 7.462
_cell_angle_alpha 90.00
_cell_angle_beta 90.00
_cell_angle_gamma 90.00
_symmetry_space_group_name_H-M 'I -4'
_symmetry_Int_Tables_number 82
loop_
_symmetry_equiv_pos_as_xyz
'x,y,z'
'y,-x,-z'
'-x,-y,z'
'-y,x,-z'
'x+1/2,y+1/2,z+1/2'
'y+1/2,-x+1/2,-z+1/2'
'-x+1/2,-y+1/2,z+1/2'
'-y+1/2,x+1/2,-z+1/2'
loop_
_atom_site_label
_atom_site_fract_x
_atom_site_fract_y
_atom_site_fract_z
_atom_site_occupancy
Ta1 0.000 0.000 0.000 1
B1 0.000 0.500 0.750 1
O1 0.161 0.293 0.861 1
```

Main lines, low angle first (10 to 80 degrees two-theta):
- (1 0 1), 2θ 22.7, d 3.923, I 1000
- (1 1 0), 2θ 27.4, d 3.261, I 228
- (1 1 2), 2θ 36.6, d 2.455, I 320
- (1 0 3), 2θ 41.2, d 2.189, I 177
- (1 2 1), 2θ 45.6, d 1.988, I 275
- (2 1 3), 2θ 58.1, d 1.588, I 160


No. 11
TbDy2In3AgPt2: computed PXRD pattern (Cu Ka), based on a DFT-relaxed cell (GGA-PBE, OQMD).

Crystal structure
```
data_TbDy2In3AgPt2
_cell_length_a 3.776
_cell_length_b 13.560
_cell_length_c 7.821
_cell_angle_alpha 90.00
_cell_angle_beta 90.00
_cell_angle_gamma 90.00
_symmetry_space_group_name_H-M 'A m m 2'
_symmetry_Int_Tables_number 38
loop_
_symmetry_equiv_pos_as_xyz
'x,y,z'
'-x,-y,z'
'-x,y,z'
'x,-y,z'
'x,y+1/2,z+1/2'
'-x,-y+1/2,z+1/2'
'-x,y+1/2,z+1/2'
'x,-y+1/2,z+1/2'
loop_
_atom_site_label
_atom_site_fract_x
_atom_site_fract_y
_atom_site_fract_z
_atom_site_occupancy
Tb1 0.000 0.000 0.000 1
Dy1 0.000 0.205 0.614 1
In1 0.500 0.000 0.678 1
In2 0.500 0.134 0.275 1
Ag1 0.000 0.000 0.409 1
Pt1 0.500 0.167 0.909 1
```

Main lines, low angle first (10 to 80 degrees two-theta):
- (1 0 2), 2θ 33.0, d 2.717, I 1000
- (0 5 1), 2θ 35.0, d 2.561, I 419
- (1 2 2), 2θ 35.6, d 2.522, I 923
- (0 6 0), 2θ 39.9, d 2.259, I 541
- (1 5 1), 2θ 42.7, d 2.120, I 267
- (1 8 2), 2θ 64.9, d 1.438, I 340


Copy entry 10 word for word.
TaBO4: computed PXRD pattern (Cu Ka), based on a DFT-relaxed cell (GGA-PBE, OQMD).

Crystal structure
```
data_TaBO4
_cell_length_a 4.611
_cell_length_b 4.611
_cell_length_c 7.462
_cell_angle_alpha 90.00
_cell_angle_beta 90.00
_cell_angle_gamma 90.00
_symmetry_space_group_name_H-M 'I -4'
_symmetry_Int_Tables_number 82
loop_
_symmetry_equiv_pos_as_xyz
'x,y,z'
'y,-x,-z'
'-x,-y,z'
'-y,x,-z'
'x+1/2,y+1/2,z+1/2'
'y+1/2,-x+1/2,-z+1/2'
'-x+1/2,-y+1/2,z+1/2'
'-y+1/2,x+1/2,-z+1/2'
loop_
_atom_site_label
_atom_site_fract_x
_atom_site_fract_y
_atom_site_fract_z
_atom_site_occupancy
Ta1 0.000 0.000 0.000 1
B1 0.000 0.500 0.750 1
O1 0.161 0.293 0.861 1
```

Main lines, low angle first (10 to 80 degrees two-theta):
- (1 0 1), 2θ 22.7, d 3.923, I 1000
- (1 1 0), 2θ 27.4, d 3.261, I 228
- (1 1 2), 2θ 36.6, d 2.455, I 320
- (1 0 3), 2θ 41.2, d 2.189, I 177
- (1 2 1), 2θ 45.6, d 1.988, I 275
- (2 1 3), 2θ 58.1, d 1.588, I 160